[1]
CeScCl5: calculated X-ray diffraction stick pattern (copper Kα), based on a DFT-relaxed cell (PBE, Alexandria).
Kinematic intensities with the Lorentz-polarization factor, no thermal factor.

Peak list (6 most intense, 5° ≤ 2θ ≤ 70°, sorted by position)
2θ = 14.17°, I 100.0; 2θ = 27.00°, I 45.4; 2θ = 29.73°, I 42.6; 2θ = 33.87°, I 34.8; 2θ = 36.92°, I 40.4; 2θ = 44.80°, I 32.8

```
CeScCl5
1.0
7.2350 0.0000 0.0000
0.0000 3.8858 0.0000
-0.0633 0.0000 12.5020
Ce Sc Cl
2 2 10
direct
0.0562 0.2500 0.3302 Ce
0.9438 0.7500 0.6698 Ce
0.4253 0.7500 0.1470 Sc
0.5747 0.2500 0.8530 Sc
0.0575 0.7500 0.1627 Cl
0.1647 0.2500 0.5647 Cl
0.3233 0.2500 0.0170 Cl
0.3477 0.7500 0.3540 Cl
0.3552 0.7500 0.7884 Cl
0.6448 0.2500 0.2116 Cl
0.6523 0.2500 0.6460 Cl
0.6767 0.7500 0.9830 Cl
0.8353 0.7500 0.4353 Cl
0.9425 0.2500 0.8373 Cl
```



[2]
CeSe6Cl12: calculated X-ray diffraction stick pattern (copper Kα), based on a DFT-relaxed cell (PBE, Alexandria).
Kinematic intensities with the Lorentz-polarization factor, no thermal factor.

Peak list (6 most intense, 5° ≤ 2θ ≤ 70°, sorted by position)
2θ = 12.51°, I 100.0; 2θ = 20.95°, I 37.3; 2θ = 26.04°, I 25.8; 2θ = 30.39°, I 24.1; 2θ = 33.37°, I 20.4; 2θ = 39.51°, I 21.4

```
CeSe6Cl12
1.0
5.2963 3.0578 7.0733
-5.2963 3.0578 7.0733
0.0000 -6.1157 7.0733
Ce Se Cl
1 6 12
direct
0.0000 0.0000 0.0000 Ce
0.2274 0.2918 0.4915 Se
0.2918 0.4915 0.2274 Se
0.4915 0.2274 0.2918 Se
0.5085 0.7726 0.7083 Se
0.7082 0.5085 0.7726 Se
0.7726 0.7083 0.5085 Se
0.0036 0.7030 0.5348 Cl
0.1160 0.2504 0.8400 Cl
0.1600 0.8840 0.7496 Cl
0.2504 0.8400 0.1160 Cl
0.2970 0.4652 0.9964 Cl
0.4652 0.9964 0.2970 Cl
0.5348 0.0036 0.7030 Cl
0.7030 0.5348 0.0036 Cl
0.7496 0.1600 0.8840 Cl
0.8400 0.1160 0.2504 Cl
0.8840 0.7496 0.1600 Cl
0.9964 0.2970 0.4652 Cl
```



[3]
Ce2Se2Cl: calculated X-ray diffraction stick pattern (copper Kα), based on a DFT-relaxed cell (PBE, Alexandria).
Kinematic intensities with the Lorentz-polarization factor, no thermal factor.

Peak list (6 most intense, 5° ≤ 2θ ≤ 70°, sorted by position)
2θ = 23.50°, I 79.0; 2θ = 25.45°, I 39.1; 2θ = 26.80°, I 33.0; 2θ = 32.78°, I 48.5; 2θ = 33.87°, I 60.1; 2θ = 35.94°, I 100.0

```
Ce2Se2Cl
1.0
2.0254 -8.7394 0.0000
2.0254 8.7394 0.0000
0.0000 0.0000 7.5723
Ce Se Cl
4 4 2
direct
0.0565 0.9435 0.5000 Ce
0.3073 0.6927 0.6006 Ce
0.6927 0.3073 0.1006 Ce
0.9435 0.0565 0.0000 Ce
0.3115 0.6885 0.0037 Se
0.4706 0.5294 0.7147 Se
0.5294 0.4706 0.2147 Se
0.6885 0.3115 0.5037 Se
0.1184 0.8816 0.8816 Cl
0.8816 0.1184 0.3816 Cl
```



[4]
Ce4Se2Cl3: calculated X-ray diffraction stick pattern (copper Kα), based on a DFT-relaxed cell (PBE, Alexandria).
Kinematic intensities with the Lorentz-polarization factor, no thermal factor.

Peak list (6 most intense, 5° ≤ 2θ ≤ 70°, sorted by position)
2θ = 5.33°, I 78.2; 2θ = 10.68°, I 26.5; 2θ = 29.69°, I 100.0; 2θ = 33.03°, I 32.7; 2θ = 43.70°, I 45.0; 2θ = 45.94°, I 29.6

```
Ce4Se2Cl3
1.0
3.5882 -2.0716 0.0000
3.5882 2.0716 0.0000
-0.0192 0.0000 16.5649
Ce Se Cl
4 2 3
direct
0.0008 0.0008 0.3004 Ce
0.3336 0.3336 0.0979 Ce
0.6664 0.6664 0.9021 Ce
0.9992 0.9992 0.6996 Ce
0.3328 0.3328 0.8002 Se
0.6672 0.6672 0.1998 Se
0.0000 0.0000 0.0000 Cl
0.3344 0.3344 0.3996 Cl
0.6656 0.6656 0.6004 Cl
```



[5]
Ce2SnSe2Cl4: calculated X-ray diffraction stick pattern (copper Kα), based on a DFT-relaxed cell (PBE, Alexandria).
Kinematic intensities with the Lorentz-polarization factor, no thermal factor.

Peak list (6 most intense, 5° ≤ 2θ ≤ 70°, sorted by position)
2θ = 12.46°, I 100.0; 2θ = 26.40°, I 40.6; 2θ = 31.37°, I 27.4; 2θ = 33.87°, I 65.7; 2θ = 43.27°, I 29.2; 2θ = 46.59°, I 32.8

```
Ce2SnSe2Cl4
1.0
3.8989 0.0000 0.0000
-1.9494 3.3765 0.0000
0.0000 0.0000 21.3045
Ce Sn Se Cl
2 1 2 4
direct
0.0000 0.0000 0.0000 Ce
0.3333 0.6667 0.3326 Ce
0.3333 0.6667 0.6798 Sn
0.0000 0.0000 0.5993 Se
0.0000 0.0000 0.7605 Se
0.0000 0.0000 0.2490 Cl
0.0000 0.0000 0.4147 Cl
0.3333 0.6667 0.0837 Cl
0.3333 0.6667 0.9186 Cl
```



[6]
Ce7SiCl12: calculated X-ray diffraction stick pattern (copper Kα), based on a DFT-relaxed cell (PBE, Alexandria).
Kinematic intensities with the Lorentz-polarization factor, no thermal factor.

Peak list (6 most intense, 5° ≤ 2θ ≤ 70°, sorted by position)
2θ = 11.91°, I 56.6; 2θ = 20.46°, I 20.3; 2θ = 26.64°, I 22.8; 2θ = 31.21°, I 100.0; 2θ = 43.94°, I 35.7; 2θ = 45.49°, I 32.8

```
Ce7SiCl12
1.0
7.4296 4.2895 3.2058
-7.4296 4.2895 3.2058
0.0000 -8.5790 3.2058
Ce Si Cl
7 1 12
direct
0.0000 0.0000 0.0000 Ce
0.1558 0.3688 0.4551 Ce
0.3688 0.4551 0.1558 Ce
0.4551 0.1558 0.3688 Ce
0.5449 0.8442 0.6312 Ce
0.6312 0.5449 0.8442 Ce
0.8442 0.6312 0.5449 Ce
0.5000 0.5000 0.5000 Si
0.0211 0.3387 0.1120 Cl
0.1120 0.0211 0.3387 Cl
0.1939 0.7164 0.5778 Cl
0.2836 0.4222 0.8061 Cl
0.3387 0.1120 0.0211 Cl
0.4222 0.8061 0.2836 Cl
0.5778 0.1939 0.7164 Cl
0.6613 0.8880 0.9789 Cl
0.7164 0.5778 0.1939 Cl
0.8061 0.2836 0.4222 Cl
0.8880 0.9789 0.6613 Cl
0.9789 0.6613 0.8880 Cl
```



[7]
CeSmTe2Cl: calculated X-ray diffraction stick pattern (copper Kα), based on a DFT-relaxed cell (PBE, Alexandria).
Kinematic intensities with the Lorentz-polarization factor, no thermal factor.

Peak list (6 most intense, 5° ≤ 2θ ≤ 70°, sorted by position)
2θ = 23.47°, I 23.3; 2θ = 28.54°, I 100.0; 2θ = 31.07°, I 25.6; 2θ = 35.90°, I 29.9; 2θ = 37.27°, I 45.3; 2θ = 40.80°, I 49.7

```
CeSmTe2Cl
1.0
4.4235 0.0000 0.0000
0.0000 4.4235 0.0000
0.0000 0.0000 15.1637
Ce Sm Te Cl
2 2 4 2
direct
0.2500 0.2500 0.1328 Ce
0.7500 0.7500 0.8672 Ce
0.2500 0.2500 0.5878 Sm
0.7500 0.7500 0.4122 Sm
0.2500 0.2500 0.3780 Te
0.2500 0.2500 0.7979 Te
0.7500 0.7500 0.2021 Te
0.7500 0.7500 0.6220 Te
0.2500 0.7500 0.0000 Cl
0.7500 0.2500 0.0000 Cl
```



[8]
Ce2SnCl2: calculated X-ray diffraction stick pattern (copper Kα), based on a DFT-relaxed cell (PBE, Alexandria).
Kinematic intensities with the Lorentz-polarization factor, no thermal factor.

Peak list (6 most intense, 5° ≤ 2θ ≤ 70°, sorted by position)
2θ = 8.81°, I 74.3; 2θ = 27.93°, I 100.0; 2θ = 33.66°, I 21.0; 2θ = 38.27°, I 34.8; 2θ = 41.50°, I 36.5; 2θ = 50.76°, I 18.8

```
Ce2SnCl2
1.0
2.1761 1.2564 10.0317
-2.1761 1.2564 10.0317
0.0000 -2.5127 10.0317
Ce Sn Cl
2 1 2
direct
0.1040 0.1040 0.1040 Ce
0.8960 0.8960 0.8960 Ce
0.5000 0.5000 0.5000 Sn
0.2789 0.2789 0.2789 Cl
0.7211 0.7211 0.7211 Cl
```



[9]
CeSnCl5: calculated X-ray diffraction stick pattern (copper Kα), based on a DFT-relaxed cell (PBE, Alexandria).
Kinematic intensities with the Lorentz-polarization factor, no thermal factor.

Peak list (6 most intense, 5° ≤ 2θ ≤ 70°, sorted by position)
2θ = 12.73°, I 44.3; 2θ = 17.99°, I 100.0; 2θ = 19.47°, I 72.2; 2θ = 28.30°, I 55.6; 2θ = 31.65°, I 44.8; 2θ = 42.97°, I 35.3

```
CeSnCl5
1.0
5.3570 -5.0408 0.0000
5.3570 5.0408 0.0000
-4.7747 0.0000 9.6228
Ce Sn Cl
2 2 10
direct
0.0000 0.5000 0.0000 Ce
0.5000 0.0000 0.5000 Ce
0.0899 0.9101 0.7500 Sn
0.9101 0.0899 0.2500 Sn
0.1806 0.6160 0.8460 Cl
0.2046 0.2416 0.5107 Cl
0.2363 0.7637 0.2500 Cl
0.2416 0.2046 0.0107 Cl
0.3840 0.8194 0.6540 Cl
0.6160 0.1806 0.3460 Cl
0.7584 0.7954 0.9893 Cl
0.7637 0.2363 0.7500 Cl
0.7954 0.7584 0.4893 Cl
0.8194 0.3840 0.1540 Cl
```



[10]
TbCeTe2Cl: calculated X-ray diffraction stick pattern (copper Kα), based on a DFT-relaxed cell (PBE, Alexandria).
Kinematic intensities with the Lorentz-polarization factor, no thermal factor.

Peak list (6 most intense, 5° ≤ 2θ ≤ 70°, sorted by position)
2θ = 5.85°, I 21.3; 2θ = 28.76°, I 100.0; 2θ = 31.24°, I 26.6; 2θ = 36.10°, I 31.9; 2θ = 37.51°, I 41.9; 2θ = 41.12°, I 49.4

```
TbCeTe2Cl
1.0
4.3902 0.0000 0.0000
0.0000 4.3902 0.0000
0.0000 0.0000 15.0981
Tb Ce Te Cl
2 2 4 2
direct
0.2500 0.2500 0.0870 Tb
0.7500 0.7500 0.9130 Tb
0.2500 0.2500 0.6337 Ce
0.7500 0.7500 0.3663 Ce
0.2500 0.2500 0.2947 Te
0.2500 0.2500 0.8808 Te
0.7500 0.7500 0.1192 Te
0.7500 0.7500 0.7053 Te
0.2500 0.7500 0.5000 Cl
0.7500 0.2500 0.5000 Cl
```



[11]
Ce3TeCl3: calculated X-ray diffraction stick pattern (copper Kα), based on a DFT-relaxed cell (PBE, Alexandria).
Kinematic intensities with the Lorentz-polarization factor, no thermal factor.

Peak list (6 most intense, 5° ≤ 2θ ≤ 70°, sorted by position)
2θ = 8.82°, I 79.9; 2θ = 26.18°, I 44.0; 2θ = 30.47°, I 100.0; 2θ = 36.60°, I 24.4; 2θ = 43.30°, I 34.6; 2θ = 43.95°, I 37.5

```
Ce3TeCl3
1.0
3.6189 2.0894 10.0239
-3.6189 2.0894 10.0239
0.0000 -4.1788 10.0239
Ce Te Cl
6 2 6
direct
0.0602 0.3679 0.7517 Ce
0.2483 0.9398 0.6321 Ce
0.3679 0.7517 0.0602 Ce
0.6321 0.2483 0.9398 Ce
0.7517 0.0602 0.3679 Ce
0.9398 0.6321 0.2483 Ce
0.3333 0.3333 0.3333 Te
0.6667 0.6667 0.6667 Te
0.1125 0.7635 0.4632 Cl
0.2365 0.5368 0.8875 Cl
0.4632 0.1125 0.7635 Cl
0.5368 0.8875 0.2365 Cl
0.7635 0.4632 0.1125 Cl
0.8875 0.2365 0.5368 Cl
```



[12]
CeTl4Cl7: calculated X-ray diffraction stick pattern (copper Kα), based on a DFT-relaxed cell (PBE, Alexandria).
Kinematic intensities with the Lorentz-polarization factor, no thermal factor.

Peak list (6 most intense, 5° ≤ 2θ ≤ 70°, sorted by position)
2θ = 21.61°, I 84.0; 2θ = 22.06°, I 94.1; 2θ = 23.36°, I 82.7; 2θ = 23.95°, I 81.5; 2θ = 24.95°, I 100.0; 2θ = 32.94°, I 91.3

```
CeTl4Cl7
1.0
10.8759 -2.7198 0.0000
10.8759 2.7198 0.0000
-2.3225 0.0000 7.2640
Ce Tl Cl
1 4 7
direct
0.0000 0.0000 0.0000 Ce
0.2969 0.2969 0.7558 Tl
0.4128 0.4128 0.3664 Tl
0.5872 0.5872 0.6336 Tl
0.7031 0.7031 0.2442 Tl
0.0750 0.0750 0.3613 Cl
0.1119 0.1119 0.8996 Cl
0.2777 0.2777 0.3442 Cl
0.5000 0.5000 0.0000 Cl
0.7223 0.7223 0.6558 Cl
0.8881 0.8881 0.1004 Cl
0.9250 0.9250 0.6387 Cl
```



[13]
CeTl3Cl7: calculated X-ray diffraction stick pattern (copper Kα), based on a DFT-relaxed cell (PBE, Alexandria).
Kinematic intensities with the Lorentz-polarization factor, no thermal factor.

Peak list (6 most intense, 5° ≤ 2θ ≤ 70°, sorted by position)
2θ = 19.54°, I 52.6; 2θ = 21.73°, I 100.0; 2θ = 22.25°, I 50.0; 2θ = 24.53°, I 32.0; 2θ = 33.60°, I 47.6; 2θ = 36.95°, I 39.1

```
CeTl3Cl7
1.0
5.3298 -4.9955 0.0000
5.3298 4.9955 0.0000
-4.3691 0.0000 7.1233
Ce Tl Cl
1 3 7
direct
0.0000 0.0000 0.0000 Ce
0.1655 0.6993 0.4507 Tl
0.4400 0.4400 0.9620 Tl
0.6993 0.1655 0.4507 Tl
0.0945 0.0945 0.7519 Cl
0.3128 0.3128 0.2173 Cl
0.3158 0.8549 0.2117 Cl
0.6354 0.9984 0.7519 Cl
0.8200 0.8200 0.1408 Cl
0.8549 0.3158 0.2117 Cl
0.9984 0.6354 0.7519 Cl
```